Starting from DFT lattice parameters and positions (GGA+U), the powder diffractogram of TmV2O2 was calculated for Cu Kα (λ = 1.5418 Å).
No peak broadening, texture or thermal motion is included.

Peak list (12 most intense, 2θ = 5–70°, in order of rising 2θ)
2theta	d [Å]	I/Imax
13.97	6.340	38
24.34	3.656	29
28.21	3.164	100
31.47	2.843	14
37.50	2.398	33
37.64	2.390	14
40.37	2.234	17
42.79	2.113	16
42.92	2.107	13
47.64	1.909	10
49.94	1.826	26
64.17	1.451	11

Atomic structure:
Unit cell a=7.757 b=7.757 c=7.757 alpha=109.65 beta=109.65 gamma=109.12
Fractional positions:
Tm1 0.000 0.000 0.000
Tm2 0.000 0.000 0.500
Tm3 0.000 0.500 0.000
Tm4 0.500 0.000 0.500
V1 0.062 0.634 0.427
V2 0.293 0.366 0.927
V3 0.366 0.293 0.427
V4 0.366 0.938 0.073
V5 0.634 0.062 0.927
V6 0.634 0.707 0.573
V7 0.707 0.634 0.073
V8 0.938 0.366 0.573
O1 0.214 0.314 0.600
O2 0.214 0.615 0.900
O3 0.314 0.214 0.100
O4 0.385 0.786 0.600
O5 0.615 0.214 0.400
O6 0.686 0.786 0.900
O7 0.786 0.385 0.100
O8 0.786 0.686 0.400